Diffraction record for V3NiP4O16. The powder diffraction line list is simulated, not measured: it uses a cell relaxed with GGA+U and Cu Kα X-rays.

Cell and atoms:
```
data_V3NiP4O16
_cell_length_a 4.8787
_cell_length_b 5.8378
_cell_length_c 9.9789
_cell_angle_alpha 90.00
_cell_angle_beta 90.49
_cell_angle_gamma 90.00
_space_group_name_H-M_alt 'P 1'
_space_group_IT_number 1
loop_
_space_group_symop_operation_xyz
'x,y,z'
loop_
_atom_site_label
_atom_site_type_symbol
_atom_site_fract_x
_atom_site_fract_y
_atom_site_fract_z
_atom_site_occupancy
V1 V 0.0000 0.0000 0.0000 1
V2 V 0.0829 0.5000 0.5473 1
V3 V 0.5857 0.0000 0.5085 1
Ni1 Ni 0.4984 0.5000 0.0534 1
P1 P 0.1552 0.0000 0.6857 1
P2 P 0.4399 0.0000 0.1788 1
P3 P 0.6501 0.5000 0.3699 1
P4 P 0.9800 0.5000 0.8704 1
O1 O 0.2206 0.0000 0.8372 1
O2 O 0.2822 0.2013 0.1062 1
O3 O 0.2822 0.7987 0.1062 1
O4 O 0.2867 0.5000 0.8872 1
O5 O 0.3034 0.2054 0.6133 1
O6 O 0.3034 0.7946 0.6133 1
O7 O 0.3451 0.5000 0.4015 1
O8 O 0.4027 0.0000 0.3298 1
O9 O 0.7083 0.5000 0.2221 1
O10 O 0.7486 0.0000 0.1486 1
O11 O 0.8005 0.2944 0.4462 1
O12 O 0.8005 0.7056 0.4462 1
O13 O 0.8372 0.2892 0.9461 1
O14 O 0.8372 0.7108 0.9461 1
O15 O 0.8480 0.0000 0.6601 1
O16 O 0.8939 0.5000 0.7235 1
```

Most intense lines, 2θ from 15° to 90°, sorted by position:
two_theta  d/Å  Rel. int.  (hkl)
17.78  4.989  91  0 0 2
20.19  4.398  73  1 0 -1
20.33  4.368  56  1 0 1
23.46  3.793  40  0 1 2
25.37  3.511  72  1 1 -1
25.47  3.497  52  1 1 1
30.63  2.919  100  0 2 0
36.00  2.495  68  1 1 -3
36.24  2.478  70  1 1 3
37.00  2.430  46  1 2 -1